(1)
Starting from a PBE-relaxed structure, the powder X-ray diffraction pattern of Pr2Zn17 was computed for a wavelength of 1.5418 Å.
Intensities are scaled so that the largest is 100.

Main lines, in order of rising 2θ (2θ = 15–90°):
d (Å), 2θ (°), Rel. int.
3.184, 28.0, 25
2.633, 34.1, 37
2.372, 37.9, 38
2.280, 39.5, 61
2.266, 39.8, 100
2.224, 40.6, 33
2.029, 44.7, 34
1.292, 73.3, 20

Atomic structure:
```
Pr2Zn17
1.0
9.1204 0.0000 0.0000
-4.5602 7.8985 0.0000
0.0000 0.0000 8.8974
Pr Zn
4 34
Cartesian
0.0000 0.0000 2.2243
0.0000 0.0000 6.6730
0.0000 5.2657 2.2243
4.5602 2.6328 6.6730
-2.2801 3.9492 0.0000
-2.2801 3.9492 4.4487
-1.3149 2.9267 6.6730
-2.6831 5.2964 6.6730
0.0000 2.5693 0.1809
0.0000 2.5693 4.2678
-2.3352 6.6139 0.1809
-2.3352 6.6139 4.2678
2.2250 1.2846 4.6296
2.2250 1.2846 8.7165
1.3149 2.9267 6.6730
-1.3681 7.5739 6.6730
0.0000 5.2657 5.3714
0.0000 5.2657 7.9747
3.1921 0.3246 2.2243
1.8771 2.6021 2.2243
4.5602 0.0000 0.0000
4.5602 0.0000 4.4487
2.2801 3.9492 0.0000
2.2801 3.9492 4.4487
2.6831 5.2964 6.6730
1.3681 7.5739 6.6730
4.5602 2.6328 0.9227
4.5602 2.6328 3.5260
5.9283 0.3246 2.2243
3.2453 4.9718 2.2243
2.3352 6.6139 0.1809
2.3352 6.6139 4.2678
6.8954 1.2846 4.6296
6.8954 1.2846 8.7165
4.5602 5.3292 4.6296
4.5602 5.3292 8.7165
7.2433 2.6021 2.2243
5.8751 4.9718 2.2243
```

***

(2)
Starting from a PBE-relaxed structure, the powder X-ray diffraction pattern of Pr2Zn17 was computed for a wavelength of 1.5418 Å.
Intensities are scaled so that the largest is 100.

Main lines, in order of rising 2θ (2θ = 15–90°):
d (Å), 2θ (°), Rel. int.
3.176, 28.1, 26
2.621, 34.2, 37
2.543, 35.3, 25
2.270, 39.7, 62
2.258, 39.9, 100
2.221, 40.6, 49
2.022, 44.8, 35
1.310, 72.1, 24

Atomic structure:
```
Pr2Zn17
1.0
4.5399 2.6211 4.4446
-4.5399 2.6211 4.4446
0.0000 -5.2422 4.4446
Pr Zn
2 17
Cartesian
0.0000 0.0000 2.1891
0.0000 0.0000 11.1446
-2.2699 -1.3105 4.4446
0.0000 -2.6775 4.2734
-2.3188 1.3387 4.2734
-1.3285 -2.3010 6.6669
-2.6570 0.0000 6.6669
-2.3188 -1.3387 9.0603
0.0000 0.0000 5.3528
-2.2699 1.3105 8.8891
1.3285 -2.3010 6.6668
0.0000 2.6211 4.4446
-1.3285 2.3010 6.6668
0.0000 0.0000 7.9809
2.3188 1.3387 4.2734
2.6570 0.0000 6.6668
1.3285 2.3010 6.6668
2.3188 -1.3387 9.0603
0.0000 2.6775 9.0603
```

***

(3)
Starting from a PBE-relaxed structure, the powder X-ray diffraction pattern of PrZn3 was computed for a wavelength of 1.5418 Å.
Intensities are scaled so that the largest is 100.

Main lines, in order of rising 2θ (2θ = 15–90°):
d (Å), 2θ (°), Rel. int.
2.628, 34.1, 81
2.616, 34.3, 18
2.567, 35.0, 100
2.439, 36.9, 20
2.292, 39.3, 45
2.142, 42.2, 22
2.064, 43.9, 20
1.534, 60.3, 15

Atomic structure:
```
PrZn3
1.0
6.7372 0.0000 0.0000
0.0000 4.5847 0.0000
0.0000 0.0000 10.4657
Pr Zn
4 12
Cartesian
1.5086 1.1462 1.6607
1.8600 3.4385 6.8935
4.8772 1.1462 3.5722
5.2287 3.4385 8.8050
0.2353 3.4385 4.1269
0.5740 1.1462 8.9266
1.4624 3.4385 10.0102
1.9062 1.1462 4.7773
2.7946 3.4385 3.6938
3.1334 1.1462 9.3597
3.6039 3.4385 1.1059
3.9426 1.1462 6.7719
4.8310 3.4385 5.6883
5.2748 1.1462 0.4555
6.1632 3.4385 1.5390
6.5020 1.1462 6.3388
```

***

Please write out number 3 again, unchanged.
Starting from a PBE-relaxed structure, the powder X-ray diffraction pattern of PrZn3 was computed for a wavelength of 1.5418 Å.
Intensities are scaled so that the largest is 100.

Main lines, in order of rising 2θ (2θ = 15–90°):
d (Å), 2θ (°), Rel. int.
2.628, 34.1, 81
2.616, 34.3, 18
2.567, 35.0, 100
2.439, 36.9, 20
2.292, 39.3, 45
2.142, 42.2, 22
2.064, 43.9, 20
1.534, 60.3, 15

Atomic structure:
```
PrZn3
1.0
6.7372 0.0000 0.0000
0.0000 4.5847 0.0000
0.0000 0.0000 10.4657
Pr Zn
4 12
Cartesian
1.5086 1.1462 1.6607
1.8600 3.4385 6.8935
4.8772 1.1462 3.5722
5.2287 3.4385 8.8050
0.2353 3.4385 4.1269
0.5740 1.1462 8.9266
1.4624 3.4385 10.0102
1.9062 1.1462 4.7773
2.7946 3.4385 3.6938
3.1334 1.1462 9.3597
3.6039 3.4385 1.1059
3.9426 1.1462 6.7719
4.8310 3.4385 5.6883
5.2748 1.1462 0.4555
6.1632 3.4385 1.5390
6.5020 1.1462 6.3388
```